Entry 1:
Diffraction record for TbNd8Dy5. The XRD peak list is calculated, not measured: it uses a crystal structure in Alexandria, relaxed with GGA-PBE and a wavelength of 1.5418 Å.
Lines closer than 0.1° are merged.

Principal peaks in the range 10 to 90 degrees two-theta, by angle:
- (2 1 -1), 25.53 deg, rel. 38.5
- (1 -1 2), 31.23 deg, rel. 83.4
- (2 2 -2), 31.48 deg, rel. 66.3
- (1 -3 1), 31.71 deg, rel. 100.0
- (-3 1 1), 31.98 deg, rel. 91.8
- (1 2 -3), 32.24 deg, rel. 66.6
- (0 2 1), 33.54 deg, rel. 54.1
- (2 0 -3), 33.77 deg, rel. 49.7
- (3 1 0), 44.94 deg, rel. 34.5
- (-3 3 2), 49.03 deg, rel. 38.5

Atomic structure:
Cell lengths 8.5787, 8.6618, 8.6927 Å; angles 113.30, 117.54, 97.51 degrees
Space group P1 (No. 1)
Unique sites:
Tb: 0.0000 0.0000 0.0000 (multiplicity 1)
Nd: 0.0544 0.8388 0.4808 (multiplicity 1)
Nd: 0.1921 0.4593 0.2508 (multiplicity 1)
Nd: 0.3069 0.2942 0.6042 (multiplicity 1)
Nd: 0.3650 0.0964 0.9952 (multiplicity 1)
Nd: 0.5148 0.7797 0.7199 (multiplicity 1)
Nd: 0.5341 0.5902 0.1312 (multiplicity 1)
Nd: 0.8832 0.6271 0.9890 (multiplicity 1)
Nd: 0.9358 0.2130 0.7214 (multiplicity 1)
Dy: 0.1320 0.6319 0.7679 (multiplicity 1)
Dy: 0.4069 0.9416 0.3466 (multiplicity 1)
Dy: 0.6395 0.4123 0.4766 (multiplicity 1)
Dy: 0.6987 0.2437 0.9492 (multiplicity 1)
Dy: 0.7846 0.0488 0.2461 (multiplicity 1)

---

Entry 2:
Diffraction record for Tb3Nd9Dy2. The XRD peak list is calculated, not measured: it uses a crystal structure in Alexandria, relaxed with GGA-PBE and a wavelength of 1.5418 Å.
Lines closer than 0.1° are merged.

Principal peaks in the range 10 to 90 degrees two-theta, by angle:
- (1 0 0), 11.21 deg, rel. 12.8
- (0 0 4), 25.59 deg, rel. 24.8
- (2 0 3), 29.72 deg, rel. 42.7
- (2 1 1), 30.65 deg, rel. 83.3
- (1 1 4), 32.37 deg, rel. 23.6
- (2 1 2), 32.66 deg, rel. 100.0
- (1 0 5), 34.14 deg, rel. 28.1
- (2 1 3), 35.78 deg, rel. 25.2
- (1 4 0), 53.20 deg, rel. 52.0
- (1 4 4), 59.92 deg, rel. 17.3

Atomic structure:
Cell lengths 9.1136, 9.1136, 13.9231 Å; angles 90.00, 90.00, 120.00 degrees
Space group P6_3/m (No. 176)
Unique sites:
Tb: 0.0802 0.2507 0.2500 (multiplicity 6)
Nd: 0.0802 0.4813 0.7500 (multiplicity 6)
Nd: 0.1322 0.7254 0.5406 (multiplicity 12)
Dy: 0.3333 0.6667 0.1425 (multiplicity 4)

---

Entry 3:
Diffraction record for Tb6NdDy12. The XRD peak list is calculated, not measured: it uses a crystal structure in Alexandria, relaxed with GGA-PBE and a wavelength of 1.5418 Å.
Lines closer than 0.1° are merged.

Principal peaks in the range 10 to 90 degrees two-theta, by angle:
- (2 1 1), 23.57 deg, rel. 11.6
- (0 1 5), 30.80 deg, rel. 41.8
- (0 3 3), 31.49 deg, rel. 23.6
- (1 3 1), 31.84 deg, rel. 100.0
- (3 -1 4), 33.00 deg, rel. 68.7
- (4 -1 2), 33.49 deg, rel. 26.1
- (2 2 3), 35.00 deg, rel. 16.8
- (5 -2 4), 45.20 deg, rel. 14.2
- (5 2 0), 55.65 deg, rel. 17.4
- (6 -5 5), 58.43 deg, rel. 17.8

Atomic structure:
Cell lengths 11.9097, 11.9097, 15.1272 Å; angles 90.00, 90.00, 120.00 degrees
Space group R-3 (No. 148, hexagonal axes)
Unique sites:
Tb: 0.0089 0.4216 0.1794 (multiplicity 18)
Nd: 0.0000 0.0000 0.5000 (multiplicity 3)
Dy: 0.0167 0.8360 0.6916 (multiplicity 18)
Dy: 0.0412 0.8516 0.9160 (multiplicity 18)

---

Entry 4:
Diffraction record for TbNd8Dy6. The XRD peak list is calculated, not measured: it uses a crystal structure in Alexandria, relaxed with GGA-PBE and a wavelength of 1.5418 Å.
Lines closer than 0.1° are merged.

Principal peaks in the range 10 to 90 degrees two-theta, by angle:
- (0 2 1), 25.60 deg, rel. 25.6
- (1 2 0), 28.82 deg, rel. 33.2
- (0 1 2), 29.23 deg, rel. 23.2
- (3 -1 1), 31.93 deg, rel. 100.0
- (3 0 0), 32.78 deg, rel. 21.6
- (1 1 2), 33.14 deg, rel. 56.4
- (2 3 1), 50.48 deg, rel. 18.2
- (4 1 0), 51.04 deg, rel. 21.6
- (0 4 2), 52.61 deg, rel. 10.8
- (6 -4 1), 61.51 deg, rel. 11.8

Atomic structure:
Cell lengths 9.4631, 9.4631, 6.5860 Å; angles 90.00, 90.00, 120.00 degrees
Space group P-3 (No. 147)
Unique sites:
Tb: 0.0000 0.0000 0.0000 (multiplicity 1)
Nd: 0.0365 0.7501 0.6673 (multiplicity 6)
Nd: 0.3333 0.6667 0.6204 (multiplicity 2)
Dy: 0.0935 0.6558 0.1584 (multiplicity 6)